The following is a theoretical XRD peak list of BaCeEuCrO6. It was derived from a crystal structure in Alexandria, relaxed with PBE+U, using λ = 1.5418 Å (Cu Kα).
Intensities are scaled so that the largest is 100.

Principal peaks in the range 2θ = 5–70°, most intense first:
- 2θ 30.25, I = 100
- 2θ 53.74, I = 40
- 2θ 43.31, I = 30
- 2θ 62.92, I = 19
- 2θ 37.28, I = 7
- 2θ 18.39, I = 7
- 2θ 35.63, I = 5
- 2θ 47.42, I = 3

Crystal structure
```
data_BaCeEuCrO6
_chemical_formula_sum 'Ba4 Ce4 Eu4 Cr4 O24'
_cell_length_a 8.356
_cell_length_b 8.356
_cell_length_c 8.356
_cell_angle_alpha 90.00
_cell_angle_beta 90.00
_cell_angle_gamma 90.00
_space_group_name_H-M_alt 'F -4 3 m'
_space_group_IT_number 216
_space_group_name_Hall 'F -4 2 3'
loop_
_atom_site_label
_atom_site_fract_x
_atom_site_fract_y
_atom_site_fract_z
Ba1 0.000 0.000 0.000
Ce1 0.250 0.250 0.750
Eu1 0.000 0.000 0.500
Cr1 0.250 0.250 0.250
O1 0.014 0.250 0.250
```